Theoretical powder XRD pattern
Compound: Li8Mn3Fe5B8O24
Radiation: λ = 1.5418 Å (Cu Kα)
Structure: a PBE+U-relaxed structure
Neutral-atom scattering factors, no anomalous dispersion.

Largest 10 diffraction maxima, by intensity, 2θ from 10° to 80°:
21.63 deg, rel. 100, hkl 1 0 2; 35.77 deg, rel. 80, hkl 0 0 8; 34.31 deg, rel. 60, hkl 2 -1 0; 19.66 deg, rel. 47, hkl 1 -1 0; 26.05 deg, rel. 41, hkl 1 0 -4; 26.80 deg, rel. 25, hkl 0 1 4; 40.98 deg, rel. 23, hkl -2 2 2; 19.50 deg, rel. 23, hkl 0 1 0; 34.02 deg, rel. 22, hkl 1 1 0; 50.15 deg, rel. 20, hkl 1 0 10

Crystal structure
```
data_Li8Mn3Fe5B8O24
_space_group_name_H-M_alt 'P 1'
_space_group_IT_number 1
_cell_length_a 5.2244
_cell_length_b 5.2325
_cell_length_c 20.0945
_cell_angle_alpha 90.94
_cell_angle_beta 90.92
_cell_angle_gamma 119.42
loop_
_space_group_symop_operation_xyz
'x,y,z'
loop_
_atom_site_label
_atom_site_type_symbol
_atom_site_fract_x
_atom_site_fract_y
_atom_site_fract_z
Li1 Li 0.0000 0.0000 0.0000
Li2 Li 0.0005 0.0035 0.4999
Li3 Li 0.0179 0.9826 0.2499
Li4 Li 0.0194 0.9790 0.7514
Li5 Li 0.6776 0.6718 0.3720
Li6 Li 0.6799 0.6688 0.8769
Li7 Li 0.6900 0.6635 0.1237
Li8 Li 0.6935 0.6634 0.6257
Mn1 Mn 0.0131 0.3347 0.8602
Mn2 Mn 0.3328 0.6482 0.2330
Mn3 Mn 0.3360 0.6483 0.7349
Fe1 Fe 0.0126 0.3372 0.3590
Fe2 Fe 0.3529 0.9988 0.1095
Fe3 Fe 0.3545 0.9963 0.6105
Fe4 Fe 0.6596 0.3244 0.4840
Fe5 Fe 0.6671 0.3186 0.9853
B1 B 0.0092 0.3296 0.1055
B2 B 0.0101 0.3284 0.6070
B3 B 0.3424 0.6641 0.4811
B4 B 0.3439 0.6641 0.9830
B5 B 0.3441 0.9927 0.3549
B6 B 0.3472 0.9894 0.8580
B7 B 0.6815 0.3249 0.7318
B8 B 0.6817 0.3268 0.2313
O1 O 0.0744 0.9669 0.8517
O2 O 0.0736 0.9771 0.3500
O3 O 0.0882 0.4003 0.9652
O4 O 0.0877 0.4008 0.4633
O5 O 0.2675 0.5790 0.1277
O6 O 0.2691 0.5786 0.6293
O7 O 0.3204 0.9075 0.0045
O8 O 0.3218 0.9069 0.5040
O9 O 0.3688 0.7436 0.3381
O10 O 0.3828 0.7488 0.8392
O11 O 0.4150 0.0738 0.7139
O12 O 0.4174 0.0743 0.2126
O13 O 0.5905 0.2496 0.8813
O14 O 0.5937 0.2517 0.3756
O15 O 0.6148 0.6830 0.9771
O16 O 0.6159 0.6856 0.4746
O17 O 0.7061 0.5996 0.2250
O18 O 0.7102 0.5990 0.7252
O19 O 0.7611 0.3523 0.5910
O20 O 0.7609 0.3552 0.0882
O21 O 0.9182 0.2937 0.7553
O22 O 0.9203 0.2973 0.2540
O23 O 0.9951 0.0607 0.0999
O24 O 0.9989 0.0607 0.5998
```